[1]
# Cs5AsP4Se12
Simulated powder diffraction line list, Cu Kα (λ = 1.5418 Å). Input: the GGA-PBE geometry in Alexandria.

Structure:
```
Cs5AsP4Se12
1.0
14.310 0.000 0.000
0.000 14.310 0.000
0.000 0.000 7.764
Cs As P Se
10 2 8 24
Direct
0.000 0.000 0.000 Cs
0.000 0.000 0.500 Cs
0.030 0.318 0.000 Cs
0.314 0.340 0.500 Cs
0.318 0.970 0.500 Cs
0.340 0.686 0.000 Cs
0.660 0.314 0.000 Cs
0.682 0.030 0.500 Cs
0.686 0.660 0.500 Cs
0.970 0.682 0.000 Cs
0.000 0.500 0.500 As
0.500 0.000 0.000 As
0.113 0.744 0.500 P
0.198 0.607 0.500 P
0.256 0.113 0.000 P
0.393 0.198 0.000 P
0.607 0.802 0.000 P
0.744 0.887 0.000 P
0.802 0.393 0.500 P
0.887 0.256 0.500 P
0.033 0.311 0.500 Se
0.143 0.529 0.271 Se
0.143 0.529 0.729 Se
0.150 0.819 0.264 Se
0.150 0.819 0.736 Se
0.181 0.150 0.236 Se
0.181 0.150 0.764 Se
0.311 0.967 0.000 Se
0.346 0.628 0.500 Se
0.372 0.346 0.000 Se
0.471 0.143 0.229 Se
0.471 0.143 0.771 Se
0.529 0.857 0.229 Se
0.529 0.857 0.771 Se
0.628 0.654 0.000 Se
0.654 0.372 0.500 Se
0.689 0.033 0.000 Se
0.819 0.850 0.236 Se
0.819 0.850 0.764 Se
0.850 0.181 0.264 Se
0.850 0.181 0.736 Se
0.857 0.471 0.271 Se
0.857 0.471 0.729 Se
0.967 0.689 0.500 Se
```

The 10 most intense peaks (2θ = 15–90°), sorted by position:
- 25.20°, rel. 8.4
- 26.43°, rel. 51.3
- 27.88°, rel. 12.1
- 29.67°, rel. 100.0
- 31.89°, rel. 9.5
- 37.72°, rel. 16.4
- 46.80°, rel. 10.2
- 46.91°, rel. 8.4
- 48.71°, rel. 26.4
- 54.55°, rel. 12.3

=====

[2]
# Pu2Ga5Ni4
Simulated powder diffraction line list, Cu Kα (λ = 1.5418 Å). Input: the GGA-PBE geometry in Alexandria.

Structure:
```
Pu2Ga5Ni4
1.0
0.000 4.538 7.590
2.651 0.000 7.590
2.651 4.538 0.000
Pu Ga Ni
2 5 4
Direct
0.133 0.133 0.867 Pu
0.867 0.867 0.133 Pu
0.000 0.000 0.500 Ga
0.250 0.250 0.250 Ga
0.500 0.500 0.000 Ga
0.500 0.500 0.500 Ga
0.750 0.750 0.750 Ga
0.218 0.519 0.481 Ni
0.481 0.782 0.218 Ni
0.519 0.218 0.782 Ni
0.782 0.481 0.519 Ni
```

The 10 most intense peaks (2θ = 15–90°), sorted by position:
- 26.25°, rel. 69.9
- 30.71°, rel. 77.9
- 34.64°, rel. 53.2
- 38.61°, rel. 100.0
- 39.36°, rel. 64.2
- 41.55°, rel. 84.9
- 45.66°, rel. 29.1
- 47.94°, rel. 34.6
- 54.89°, rel. 28.1
- 63.70°, rel. 51.3

=====

[3]
# Er2Be16Co
Simulated powder diffraction line list, Cu Kα (λ = 1.5418 Å). Input: the GGA-PBE geometry in Alexandria.

Structure:
```
Er2Be16Co
1.0
3.862 2.230 3.748
-3.862 2.230 3.748
0.000 -4.460 3.748
Er Be Co
2 16 1
Direct
0.000 0.000 0.000 Er
0.320 0.320 0.320 Er
0.157 0.665 0.665 Be
0.324 0.324 0.817 Be
0.324 0.817 0.324 Be
0.389 0.664 0.939 Be
0.389 0.939 0.664 Be
0.511 0.997 0.997 Be
0.566 0.566 0.566 Be
0.664 0.389 0.939 Be
0.664 0.939 0.389 Be
0.665 0.157 0.665 Be
0.665 0.665 0.157 Be
0.817 0.324 0.324 Be
0.939 0.389 0.664 Be
0.939 0.664 0.389 Be
0.997 0.511 0.997 Be
0.997 0.997 0.511 Be
0.757 0.757 0.757 Co
```

The 10 most intense peaks (2θ = 15–90°), sorted by position:
- 15.41°, rel. 23.9
- 23.03°, rel. 100.0
- 23.74°, rel. 20.4
- 33.31°, rel. 60.6
- 34.61°, rel. 18.0
- 40.45°, rel. 28.8
- 47.06°, rel. 21.9
- 47.44°, rel. 28.2
- 48.42°, rel. 15.3
- 69.05°, rel. 16.2